# Y2Si2O7
Theoretical powder XRD pattern, Cu Kα, 1.54184 Å. Input: a cell relaxed with GGA-PBE.

Largest 12 diffraction maxima, most intense first, 2θ = 10–90°:
Position (°2θ)	d/Å	Rel. int.	(hkl)
28.85	3.094	100	1 2 -1
18.64	4.760	36	1 0 -1
25.35	3.514	30	0 0 2
25.53	3.490	30	1 0 1
51.95	1.760	29	1 4 1
33.69	2.660	23	0 2 2
43.24	2.092	23	1 2 -3
36.86	2.438	22	1 0 -3
43.58	2.077	22	2 2 0
37.24	2.415	22	2 0 0
33.83	2.650	22	1 2 1
48.34	1.883	20	1 0 3

```
data_Y2Si2O7
_cell_length_a 5.101
_cell_length_b 8.145
_cell_length_c 7.423
_cell_angle_alpha 90.00
_cell_angle_beta 108.80
_cell_angle_gamma 90.00
_symmetry_space_group_name_H-M 'P 1 21/m 1'
_symmetry_Int_Tables_number 11
_symmetry_space_group_name_Hall '-P 2yb'
loop_
_atom_site_label
_atom_site_type_symbol
_atom_site_fract_x
_atom_site_fract_y
_atom_site_fract_z
Y1 Y 0.232 0.008 0.253
Si1 Si 0.154 0.250 0.573
Si2 Si 0.285 0.750 0.867
O1 O 0.007 0.750 0.665
O2 O 0.070 0.750 0.313
O3 O 0.216 0.585 0.966
O4 O 0.332 0.081 0.593
O5 O 0.431 0.250 0.186
```